The following is a calculated powder XRD pattern of YHoEr3. It was derived from the PBE geometry in Alexandria, using CuKα.
Neutral-atom scattering factors, no anomalous dispersion.

Most intense lines, 2θ from 10° to 90°, by angle:
28.64 deg, rel. 24, hkl -1 1 2; 31.99 deg, rel. 24, hkl 0 2 -2; 32.89 deg, rel. 100, hkl 1 1 1; 43.47 deg, rel. 15, hkl 1 1 -4; 50.73 deg, rel. 20, hkl 0 1 4; 57.59 deg, rel. 20, hkl 1 -3 5; 61.24 deg, rel. 22, hkl 3 1 0; 61.81 deg, rel. 11, hkl -2 3 3; 83.96 deg, rel. 8, hkl 4 -2 5; 88.52 deg, rel. 7, hkl 0 5 0

Cell and atoms:
a b c (Å): 6.231 6.649 9.121
angles (deg): 107.60 90.02 117.88
Space group P-1 (No. 2)
One atom of each set of equivalent atoms:
Y  0.033  0.399  0.150 x2
Ho  0.365  0.399  0.650 x2
Er  0.169  0.001  0.251 x2
Er  0.234  0.801  0.550 x2
Er  0.433  0.200  0.950 x2